Computed XRD peak list
Compound: MnCuAsO6
Radiation: λ = 1.5418 Å (Cu Kα)
Structure: a crystal structure in Alexandria, relaxed with GGA+U
Intensities are scaled so that the largest is 1000.

Top 10 peaks for 2θ from 15° to 90°, in order of rising 2θ:
2θ 20.57, d 4.318, intensity 125, (0 0 2); 2θ 29.46, d 3.032, intensity 1000, (1 0 2); 2θ 36.55, d 2.458, intensity 353, (1 1 0); 2θ 42.31, d 2.136, intensity 194, (1 1 2); 2θ 47.62, d 1.909, intensity 246, (2 0 2); 2θ 56.75, d 1.622, intensity 462, (1 1 4); 2θ 61.49, d 1.508, intensity 223, (2 1 2); 2θ 65.80, d 1.419, intensity 186, (3 0 0); 2θ 68.86, d 1.364, intensity 75, (1 0 6); 2θ 85.19, d 1.139, intensity 87, (4 -1 2)

Cell and atoms:
a b c (Å): 4.9165 4.9165 8.6362
angles (deg): 90.00 90.00 120.00
Atoms (fractional coordinates):
Mn: 0.3333 0.6667 0.2500
Mn: 0.6667 0.3333 0.7500
Cu: 0.0000 0.0000 0.0000
Cu: 0.0000 0.0000 0.5000
As: 0.3333 0.6667 0.7500
As: 0.6667 0.3333 0.2500
O: 0.0088 0.3581 0.6324
O: 0.0088 0.6507 0.8676
O: 0.3493 0.3581 0.8676
O: 0.3493 0.9912 0.6324
O: 0.3581 0.0088 0.1324
O: 0.3581 0.3493 0.3676
O: 0.6419 0.6507 0.6324
O: 0.6419 0.9912 0.8676
O: 0.6507 0.0088 0.3676
O: 0.6507 0.6419 0.1324
O: 0.9912 0.3493 0.1324
O: 0.9912 0.6419 0.3676